[1]
Structure and computed powder X-ray diffraction pattern of Sr3Sc3N5 (the GGA-PBE geometry in Alexandria; Cu Kα, 1.54184 Å).

Principal peaks in the range 2θ from 10° to 90°, low angle first:
2θ/deg, I_rel
28.13, 519
29.96, 1000
30.78, 710
31.27, 737
31.73, 340
34.19, 358
35.04, 213
37.63, 209
45.21, 242
55.87, 202

Structure:
a = 6.149 Å, b = 8.115 Å, c = 9.183 Å
α = 109.45°, β = 105.10°, γ = 101.37°
Element x y z (fractional)
Sr: 0.173 0.346 0.390
Sr: 0.195 0.133 0.711
Sr: 0.242 0.932 0.096
Sr: 0.758 0.068 0.904
Sr: 0.805 0.867 0.289
Sr: 0.827 0.654 0.610
Sc: 0.210 0.467 0.084
Sc: 0.384 0.637 0.798
Sc: 0.396 0.809 0.472
Sc: 0.604 0.191 0.528
Sc: 0.616 0.363 0.202
Sc: 0.790 0.533 0.916
N: 0.130 0.577 0.903
N: 0.258 0.754 0.639
N: 0.260 0.999 0.393
N: 0.267 0.209 0.022
N: 0.494 0.590 0.315
N: 0.506 0.410 0.685
N: 0.733 0.791 0.978
N: 0.740 0.001 0.607
N: 0.742 0.246 0.361
N: 0.870 0.423 0.097


[2]
Structure and computed powder X-ray diffraction pattern of Na3HgF7 (the GGA-PBE geometry in Alexandria; Cu Kα, 1.54184 Å).

Principal peaks in the range 2θ from 10° to 90°, low angle first:
2θ/deg, I_rel
17.72, 1000
18.19, 770
18.55, 348
21.78, 614
28.13, 254
28.78, 606
29.34, 282
31.65, 308
35.93, 320
36.38, 218

Structure:
a = 5.772 Å, b = 5.772 Å, c = 6.165 Å
α = 116.54°, β = 116.54°, γ = 89.80°
Element x y z (fractional)
Na: 0.000 0.000 0.000
Na: 0.261 0.729 0.555
Na: 0.729 0.261 0.555
Hg: 0.556 0.556 0.116
F: 0.149 0.553 0.789
F: 0.346 0.895 0.298
F: 0.381 0.381 0.262
F: 0.553 0.149 0.789
F: 0.680 0.680 0.902
F: 0.895 0.346 0.298
F: 0.897 0.897 0.543


[3]
Structure and computed powder X-ray diffraction pattern of Sr2PrCu3Pb2O8 (the GGA-PBE geometry in Alexandria; Cu Kα, 1.54184 Å).

Principal peaks in the range 2θ from 10° to 90°, low angle first:
2θ/deg, I_rel
23.66, 174
31.73, 323
32.18, 1000
32.57, 860
43.11, 141
46.46, 197
46.99, 202
57.94, 147
58.12, 131
77.30, 149

Structure:
a = 3.909 Å, b = 3.867 Å, c = 16.039 Å
α = 90.00°, β = 90.87°, γ = 90.00°
Element x y z (fractional)
Sr: 0.014 0.000 0.224
Sr: 0.986 0.000 0.776
Pr: 0.000 0.000 0.000
Cu: 0.000 0.000 0.500
Cu: 0.493 0.500 0.889
Cu: 0.507 0.500 0.111
Pb: 0.496 0.500 0.390
Pb: 0.504 0.500 0.610
O: 0.006 0.500 0.099
O: 0.096 0.000 0.386
O: 0.480 0.500 0.746
O: 0.494 0.000 0.902
O: 0.506 0.000 0.098
O: 0.520 0.500 0.254
O: 0.904 0.000 0.614
O: 0.994 0.500 0.901


[4]
Structure and computed powder X-ray diffraction pattern of CsPr3Se4 (the GGA-PBE geometry in Alexandria; Cu Kα, 1.54184 Å).

Principal peaks in the range 2θ from 10° to 90°, low angle first:
2θ/deg, I_rel
25.21, 269
27.82, 590
29.48, 1000
31.35, 172
40.29, 382
41.55, 662
42.81, 196
48.13, 161
51.76, 204
68.45, 176

Structure:
a = 4.347 Å, b = 4.347 Å, c = 30.621 Å
α = 90.00°, β = 90.00°, γ = 120.00°
Element x y z (fractional)
Cs: 0.333 0.667 0.250
Cs: 0.667 0.333 0.750
Pr: 0.000 0.000 0.000
Pr: 0.000 0.000 0.500
Pr: 0.333 0.667 0.612
Pr: 0.333 0.667 0.888
Pr: 0.667 0.333 0.112
Pr: 0.667 0.333 0.388
Se: 0.000 0.000 0.165
Se: 0.000 0.000 0.335
Se: 0.000 0.000 0.665
Se: 0.000 0.000 0.835
Se: 0.333 0.667 0.056
Se: 0.333 0.667 0.444
Se: 0.667 0.333 0.556
Se: 0.667 0.333 0.944


[5]
Structure and computed powder X-ray diffraction pattern of LaAg3S3 (the GGA-PBE geometry in Alexandria; Cu Kα, 1.54184 Å).

Principal peaks in the range 2θ from 10° to 90°, low angle first:
2θ/deg, I_rel
14.50, 126
27.44, 1000
35.76, 875
42.39, 636
46.79, 181
51.23, 175
56.63, 214
59.31, 209
68.60, 158
73.22, 192

Structure:
a = 8.066 Å, b = 8.066 Å, c = 8.066 Å
α = 54.50°, β = 54.50°, γ = 54.50°
Element x y z (fractional)
La: 0.166 0.166 0.166
La: 0.834 0.834 0.834
Ag: 0.055 0.703 0.376
Ag: 0.297 0.624 0.945
Ag: 0.376 0.055 0.703
Ag: 0.624 0.945 0.297
Ag: 0.703 0.376 0.055
Ag: 0.945 0.297 0.624
S: 0.075 0.423 0.767
S: 0.233 0.925 0.577
S: 0.423 0.767 0.075
S: 0.577 0.233 0.925
S: 0.767 0.075 0.423
S: 0.925 0.577 0.233


[6]
Structure and computed powder X-ray diffraction pattern of PaP2Rh2 (the GGA-PBE geometry in Alexandria; Cu Kα, 1.54184 Å).

Principal peaks in the range 2θ from 10° to 90°, low angle first:
2θ/deg, I_rel
17.03, 239
29.47, 1000
29.64, 296
31.99, 406
32.72, 357
34.34, 565
34.46, 230
40.50, 632
45.61, 291
46.67, 232

Structure:
a = 6.414 Å, b = 6.414 Å, c = 5.578 Å
α = 110.00°, β = 110.00°, γ = 108.49°
Element x y z (fractional)
Pa: 0.124 0.876 0.750
Pa: 0.876 0.124 0.250
P: 0.201 0.799 0.250
P: 0.383 0.617 0.750
P: 0.617 0.383 0.250
P: 0.799 0.201 0.750
Rh: 0.246 0.384 0.954
Rh: 0.384 0.246 0.454
Rh: 0.616 0.754 0.546
Rh: 0.754 0.616 0.046


[7]
Structure and computed powder X-ray diffraction pattern of Tb2Sm5Dy4 (the GGA-PBE geometry in Alexandria; Cu Kα, 1.54184 Å).

Principal peaks in the range 2θ from 10° to 90°, low angle first:
2θ/deg, I_rel
28.25, 388
28.45, 254
30.17, 563
30.58, 297
31.59, 647
32.38, 1000
35.78, 341
37.12, 469
42.24, 297
61.34, 344

Structure:
a = 12.673 Å, b = 12.673 Å, c = 12.673 Å
α = 164.05°, β = 137.82°, γ = 45.36°
Element x y z (fractional)
Tb: 0.231 0.231 0.000
Tb: 0.769 0.769 0.000
Sm: 0.154 0.354 0.800
Sm: 0.446 0.646 0.800
Sm: 0.500 0.000 0.500
Sm: 0.554 0.354 0.200
Sm: 0.846 0.646 0.200
Dy: 0.097 0.097 0.000
Dy: 0.190 0.500 0.690
Dy: 0.810 0.500 0.310
Dy: 0.903 0.903 0.000


[8]
Structure and computed powder X-ray diffraction pattern of MgTc2Os (the GGA-PBE geometry in Alexandria; Cu Kα, 1.54184 Å).

Principal peaks in the range 2θ from 10° to 90°, low angle first:
2θ/deg, I_rel
22.90, 368
30.62, 158
40.90, 256
41.31, 1000
41.78, 242
42.40, 85
59.90, 165
74.76, 169
75.97, 163
89.73, 110

Structure:
a = 5.152 Å, b = 5.152 Å, c = 5.152 Å
α = 145.05°, β = 130.38°, γ = 62.13°
Element x y z (fractional)
Mg: 0.000 0.000 0.000
Tc: 0.254 0.754 0.500
Tc: 0.746 0.246 0.500
Os: 0.500 0.500 0.000